For La5HoPb4, a crystal structure in Alexandria, relaxed with PBE gives the computed powder XRD pattern in this record (Cu Kα).
Peak positions follow from Bragg's law for the DFT cell and can differ from measured ones.

Principal peaks in the range 10 to 80 degrees two-theta, sorted by position:
2theta  I_rel  hkl
31.2  54  6 0 0
32.1  53  0 2 0
32.7  100  3 1 -2
33.2  95  3 1 2
45.4  39  6 2 0
56.3  21  9 1 -2
57.1  19  9 1 2
57.6  20  3 3 -2
57.9  20  3 3 2
59.9  26  0 2 4

```
data_La5HoPb4
_cell_length_a 17.1776
_cell_length_b 5.5791
_cell_length_c 7.4239
_cell_angle_alpha 90.00
_cell_angle_beta 91.06
_cell_angle_gamma 90.00
_symmetry_space_group_name_H-M 'C 1 2/m 1'
_symmetry_Int_Tables_number 12
_symmetry_space_group_name_Hall '-C 2y'
loop_
_atom_site_label
_atom_site_type_symbol
_atom_site_fract_x
_atom_site_fract_y
_atom_site_fract_z
La1 La 0.0000 0.0000 0.0000
La2 La 0.1660 0.5000 0.9993
La3 La 0.1671 0.5000 0.5078
Ho1 Ho 0.0000 0.0000 0.5000
Pb1 Pb 0.0075 0.5000 0.2598
Pb2 Pb 0.1718 0.0000 0.7474
```